Starting from a DFT-relaxed cell (PBE, Alexandria), the powder diffractogram of Mn3Tl2Cl10 was calculated for Cu Kα (weighted mean of Kα1 and Kα2).
Neutral-atom scattering factors, no anomalous dispersion.

Principal peaks in the range 5 to 70 degrees two-theta, sorted by position:
2θ 17.66, 5.023 Å, I = 28.4
2θ 21.77, 4.083 Å, I = 100.0
2θ 22.38, 3.973 Å, I = 35.3
2θ 23.06, 3.857 Å, I = 53.7
2θ 31.37, 2.852 Å, I = 72.8
2θ 32.35, 2.767 Å, I = 32.6
2θ 33.02, 2.713 Å, I = 31.8
2θ 34.15, 2.626 Å, I = 59.4
2θ 40.80, 2.212 Å, I = 30.6
2θ 51.11, 1.787 Å, I = 31.2

Structure:
a = 23.1418 Å, b = 7.1750 Å, c = 10.0285 Å
α = 90.00°, β = 110.29°, γ = 90.00°
Space group C2/m (No. 12)
Symmetry-distinct sites (fractional):
Mn1 0.0000 0.2442 0.0000 x4
Mn2 0.0686 0.5000 0.4510 x4
Mn3 0.1795 0.5000 0.0294 x4
Tl1 0.1247 0.0000 0.7632 x4
Tl2 0.2421 0.0000 0.3026 x4
Cl1 0.0000 0.2850 0.5000 x4
Cl2 0.0118 0.0000 0.1780 x4
Cl3 0.0150 0.5000 0.1842 x4
Cl4 0.1133 0.2524 0.0514 x8
Cl5 0.1365 0.2696 0.4730 x8
Cl6 0.1361 0.5000 0.7859 x4
Cl7 0.2349 0.5000 0.2666 x4
Cl8 0.2500 0.2500 0.0000 x4

***

Starting from a DFT-relaxed cell (PBE, Alexandria), the powder diffractogram of MnTl4Cl7 was calculated for Cu Kα (weighted mean of Kα1 and Kα2).
Neutral-atom scattering factors, no anomalous dispersion.

Principal peaks in the range 5 to 70 degrees two-theta, sorted by position:
2θ 21.15, 4.201 Å, I = 63.3
2θ 21.50, 4.133 Å, I = 68.3
2θ 22.98, 3.871 Å, I = 86.5
2θ 25.06, 3.553 Å, I = 100.0
2θ 26.79, 3.328 Å, I = 40.6
2θ 32.06, 2.792 Å, I = 30.1
2θ 34.00, 2.637 Å, I = 33.4
2θ 37.22, 2.416 Å, I = 35.6
2θ 37.79, 2.380 Å, I = 53.4
2θ 43.92, 2.062 Å, I = 31.5

Structure:
a = 17.2570 Å, b = 4.7578 Å, c = 12.6861 Å
α = 90.00°, β = 125.67°, γ = 90.00°
Space group C2/m (No. 12)
Symmetry-distinct sites (fractional):
Mn1 0.0000 0.0000 0.0000 x2
Tl1 0.1113 0.5000 0.3729 x4
Tl2 0.2199 0.0000 0.8250 x4
Cl1 0.0000 0.5000 0.0000 x2
Cl2 0.1133 0.5000 0.8308 x4
Cl3 0.1398 0.0000 0.1944 x4
Cl4 0.1674 0.0000 0.5509 x4

***

Starting from a DFT-relaxed cell (PBE, Alexandria), the powder diffractogram of MnTl4Cl5 was calculated for Cu Kα (weighted mean of Kα1 and Kα2).
Neutral-atom scattering factors, no anomalous dispersion.

Principal peaks in the range 5 to 70 degrees two-theta, sorted by position:
2θ 23.69, 3.755 Å, I = 30.2
2θ 25.28, 3.523 Å, I = 100.0
2θ 26.54, 3.359 Å, I = 28.3
2θ 30.45, 2.936 Å, I = 83.3
2θ 34.14, 2.627 Å, I = 29.3
2θ 35.87, 2.503 Å, I = 25.0
2θ 43.75, 2.069 Å, I = 15.2
2θ 46.09, 1.969 Å, I = 26.4
2θ 49.36, 1.846 Å, I = 23.6
2θ 50.36, 1.812 Å, I = 18.5

Structure:
a = 10.6208 Å, b = 10.6208 Å, c = 5.2530 Å
α = 90.00°, β = 90.00°, γ = 90.00°
Space group I4/m (No. 87)
Symmetry-distinct sites (fractional):
Mn1 0.0000 0.0000 0.0000 x2
Tl1 0.0347 0.2967 0.5000 x8
Cl1 0.0000 0.0000 0.5000 x2
Cl2 0.1658 0.1667 0.0000 x8

***

Starting from a DFT-relaxed cell (PBE, Alexandria), the powder diffractogram of MnTlCl3 was calculated for Cu Kα (weighted mean of Kα1 and Kα2).
Neutral-atom scattering factors, no anomalous dispersion.

Principal peaks in the range 5 to 70 degrees two-theta, sorted by position:
2θ 16.37, 5.416 Å, I = 31.0
2θ 22.82, 3.897 Å, I = 47.1
2θ 23.63, 3.766 Å, I = 20.5
2θ 24.16, 3.684 Å, I = 100.0
2θ 29.64, 3.014 Å, I = 43.0
2θ 33.08, 2.708 Å, I = 31.6
2θ 35.74, 2.512 Å, I = 23.4
2θ 40.90, 2.207 Å, I = 28.5
2θ 41.86, 2.158 Å, I = 23.4
2θ 42.83, 2.111 Å, I = 23.9

Structure:
a = 9.0469 Å, b = 7.7945 Å, c = 10.0495 Å
α = 90.00°, β = 123.64°, γ = 90.00°
Space group P2_1/c (No. 14)
Symmetry-distinct sites (fractional):
Mn1 0.1946 0.2500 0.3469 x4
Tl1 0.2493 0.7304 0.1256 x4
Cl1 0.0013 0.5008 0.2982 x4
Cl2 0.1866 0.1757 0.5930 x4
Cl3 0.4959 0.7505 0.4988 x4

***

Starting from a DFT-relaxed cell (PBE, Alexandria), the powder diffractogram of Mn3Tl2Cl9 was calculated for Cu Kα (weighted mean of Kα1 and Kα2).
Neutral-atom scattering factors, no anomalous dispersion.

Principal peaks in the range 5 to 70 degrees two-theta, sorted by position:
2θ 11.15, 7.936 Å, I = 22.3
2θ 16.71, 5.305 Å, I = 79.1
2θ 23.07, 3.855 Å, I = 100.0
2θ 29.78, 3.000 Å, I = 18.5
2θ 31.80, 2.814 Å, I = 29.2
2θ 33.85, 2.648 Å, I = 59.9
2θ 39.26, 2.295 Å, I = 20.3
2θ 41.39, 2.181 Å, I = 21.4
2θ 42.85, 2.110 Å, I = 25.7
2θ 59.32, 1.558 Å, I = 17.3

Structure:
a = 9.1641 Å, b = 9.1641 Å, c = 14.2650 Å
α = 90.00°, β = 90.00°, γ = 120.00°
Space group P6_3/m (No. 176)
Symmetry-distinct sites (fractional):
Mn1 0.0075 0.7417 0.2500 x6
Tl1 0.3333 0.6667 0.5047 x4
Cl1 0.0071 0.7516 0.7500 x6
Cl2 0.0084 0.6288 0.1088 x12

***

Starting from a DFT-relaxed cell (PBE, Alexandria), the powder diffractogram of MnTl5Cl8 was calculated for Cu Kα (weighted mean of Kα1 and Kα2).
Neutral-atom scattering factors, no anomalous dispersion.

Principal peaks in the range 5 to 70 degrees two-theta, sorted by position:
2θ 12.03, 7.360 Å, I = 21.0
2θ 19.70, 4.507 Å, I = 15.9
2θ 23.14, 3.844 Å, I = 100.0
2θ 24.19, 3.680 Å, I = 24.4
2θ 28.00, 3.187 Å, I = 28.8
2θ 36.63, 2.453 Å, I = 39.8
2θ 40.01, 2.253 Å, I = 56.1
2θ 47.30, 1.922 Å, I = 17.4
2θ 55.36, 1.660 Å, I = 28.9
2θ 63.17, 1.472 Å, I = 15.0

Structure:
a = 12.7475 Å, b = 12.7475 Å, c = 12.7475 Å
α = 90.00°, β = 90.00°, γ = 90.00°
Space group F-43m (No. 216)
Symmetry-distinct sites (fractional):
Mn1 0.0000 0.0000 0.0000 x4
Tl1 0.1248 0.1248 0.6248 x16
Tl2 0.2500 0.2500 0.2500 x4
Cl1 0.1016 0.1016 0.8984 x16
Cl2 0.1103 0.1103 0.3897 x16

***

Starting from a DFT-relaxed cell (PBE, Alexandria), the powder diffractogram of Mn2Tl2Cl5 was calculated for Cu Kα (weighted mean of Kα1 and Kα2).
Neutral-atom scattering factors, no anomalous dispersion.

Principal peaks in the range 5 to 70 degrees two-theta, sorted by position:
2θ 17.87, 4.963 Å, I = 36.2
2θ 18.60, 4.772 Å, I = 31.5
2θ 21.68, 4.098 Å, I = 100.0
2θ 26.48, 3.366 Å, I = 26.4
2θ 27.47, 3.247 Å, I = 25.8
2θ 29.56, 3.022 Å, I = 26.4
2θ 29.81, 2.997 Å, I = 37.3
2θ 30.24, 2.956 Å, I = 27.3
2θ 31.37, 2.851 Å, I = 41.2
2θ 34.73, 2.583 Å, I = 37.1

Structure:
a = 12.4578 Å, b = 5.1662 Å, c = 7.8056 Å
α = 90.00°, β = 92.30°, γ = 90.00°
Space group C2/m (No. 12)
Symmetry-distinct sites (fractional):
Mn1 0.1817 0.0000 0.1369 x4
Tl1 0.0991 0.5000 0.6526 x4
Cl1 0.0000 0.0000 0.0000 x2
Cl2 0.1416 0.0000 0.4276 x4
Cl3 0.2123 0.5000 0.1223 x4

***

Starting from a DFT-relaxed cell (PBE, Alexandria), the powder diffractogram of MnTl2Cl4 was calculated for Cu Kα (weighted mean of Kα1 and Kα2).
Neutral-atom scattering factors, no anomalous dispersion.

Principal peaks in the range 5 to 70 degrees two-theta, sorted by position:
2θ 18.40, 4.823 Å, I = 35.3
2θ 24.28, 3.665 Å, I = 100.0
2θ 24.89, 3.578 Å, I = 84.3
2θ 33.67, 2.662 Å, I = 86.1
2θ 35.48, 2.530 Å, I = 58.3
2θ 42.34, 2.135 Å, I = 34.2
2θ 43.46, 2.082 Å, I = 45.3
2θ 49.75, 1.833 Å, I = 23.4
2θ 57.36, 1.606 Å, I = 25.0
2θ 62.56, 1.485 Å, I = 33.6

Structure:
a = 5.0600 Å, b = 5.0600 Å, c = 15.9480 Å
α = 90.00°, β = 90.00°, γ = 90.00°
Space group I4/mmm (No. 139)
Symmetry-distinct sites (fractional):
Mn1 0.0000 0.0000 0.0000 x2
Tl1 0.0000 0.0000 0.3572 x4
Cl1 0.0000 0.0000 0.1576 x4
Cl2 0.0000 0.5000 0.0000 x4

***

Starting from a DFT-relaxed cell (PBE, Alexandria), the powder diffractogram of UMnTl2Cl8 was calculated for Cu Kα (weighted mean of Kα1 and Kα2).
Neutral-atom scattering factors, no anomalous dispersion.

Principal peaks in the range 5 to 70 degrees two-theta, sorted by position:
2θ 17.76, 4.995 Å, I = 100.0
2θ 18.73, 4.738 Å, I = 73.3
2θ 24.72, 3.602 Å, I = 24.0
2θ 25.02, 3.558 Å, I = 26.9
2θ 25.17, 3.538 Å, I = 40.2
2θ 25.28, 3.523 Å, I = 39.0
2θ 36.18, 2.483 Å, I = 27.9
2θ 36.38, 2.470 Å, I = 48.6
2θ 37.31, 2.410 Å, I = 29.1
2θ 43.42, 2.084 Å, I = 25.7

Structure:
a = 6.6655 Å, b = 7.1269 Å, c = 8.3303 Å
α = 89.72°, β = 89.72°, γ = 86.96°
Space group P-1 (No. 2)
Symmetry-distinct sites (fractional):
U1 0.0000 0.0000 0.0000 x1
Mn1 0.0000 0.0000 0.5000 x1
Tl1 0.4964 0.4947 0.2687 x2
Cl1 0.1928 0.7182 0.5005 x2
Cl2 0.2132 0.6814 0.0002 x2
Cl3 0.2190 0.1247 0.2406 x2
Cl4 0.2208 0.1254 0.7613 x2

***

Starting from a DFT-relaxed cell (PBE, Alexandria), the powder diffractogram of MnTl2ZnCl6 was calculated for Cu Kα (weighted mean of Kα1 and Kα2).
Neutral-atom scattering factors, no anomalous dispersion.

Principal peaks in the range 5 to 70 degrees two-theta, sorted by position:
2θ 18.70, 4.746 Å, I = 17.3
2θ 23.99, 3.709 Å, I = 100.0
2θ 26.56, 3.356 Å, I = 42.7
2θ 30.06, 2.973 Å, I = 29.7
2θ 30.59, 2.923 Å, I = 54.7
2θ 37.91, 2.373 Å, I = 35.9
2θ 40.54, 2.225 Å, I = 29.9
2θ 45.35, 2.000 Å, I = 32.8
2θ 49.12, 1.855 Å, I = 26.7
2θ 49.86, 1.829 Å, I = 19.4

Structure:
a = 9.4813 Å, b = 11.8915 Å, c = 6.7059 Å
α = 90.00°, β = 134.88°, γ = 90.00°
Space group C2 (No. 5)
Symmetry-distinct sites (fractional):
Mn1 0.0000 0.0000 0.0000 x2
Tl1 0.0000 0.2408 0.5000 x2
Tl2 0.0000 0.7413 0.5000 x2
Zn1 0.0000 0.5032 0.0000 x2
Cl1 0.0000 0.1981 0.0000 x2
Cl2 0.0000 0.6964 0.0000 x2
Cl3 0.2008 0.4525 0.9086 x4
Cl4 0.2060 0.9528 0.5035 x4

***

Starting from a DFT-relaxed cell (PBE, Alexandria), the powder diffractogram of Mn2ZnCl8 was calculated for Cu Kα (weighted mean of Kα1 and Kα2).
Neutral-atom scattering factors, no anomalous dispersion.

Principal peaks in the range 5 to 70 degrees two-theta, sorted by position:
2θ 9.29, 9.518 Å, I = 17.5
2θ 13.86, 6.389 Å, I = 100.0
2θ 19.57, 4.537 Å, I = 34.7
2θ 19.75, 4.496 Å, I = 34.4
2θ 28.16, 3.169 Å, I = 32.9
2θ 34.19, 2.622 Å, I = 11.0
2θ 38.22, 2.355 Å, I = 25.5
2θ 43.42, 2.084 Å, I = 17.7
2θ 48.30, 1.884 Å, I = 11.6
2θ 49.07, 1.857 Å, I = 12.1

Structure:
a = 3.2381 Å, b = 9.5925 Å, c = 9.8507 Å
α = 97.02°, β = 99.20°, γ = 90.29°
Space group P-1 (No. 2)
Symmetry-distinct sites (fractional):
Mn1 0.1539 0.2238 0.3309 x2
Zn1 0.5000 0.5000 0.0000 x1
Cl1 0.0390 0.6680 0.0746 x2
Cl2 0.2587 0.7966 0.4885 x2
Cl3 0.3644 0.5904 0.7143 x2
Cl4 0.4140 0.9197 0.8035 x2

***

Starting from a DFT-relaxed cell (PBE, Alexandria), the powder diffractogram of MnZnCl was calculated for Cu Kα (weighted mean of Kα1 and Kα2).
Neutral-atom scattering factors, no anomalous dispersion.

Principal peaks in the range 5 to 70 degrees two-theta, sorted by position:
2θ 14.29, 6.200 Å, I = 17.1
2θ 31.88, 2.807 Å, I = 6.6
2θ 33.30, 2.690 Å, I = 39.8
2θ 38.07, 2.364 Å, I = 100.0
2θ 43.80, 2.067 Å, I = 12.9
2θ 48.42, 1.880 Å, I = 9.8
2θ 53.72, 1.706 Å, I = 9.2
2θ 56.12, 1.639 Å, I = 11.7
2θ 62.69, 1.482 Å, I = 20.6
2θ 64.69, 1.441 Å, I = 10.0

Structure:
a = 3.4124 Å, b = 5.3809 Å, c = 12.4000 Å
α = 90.00°, β = 90.00°, γ = 90.00°
Space group Fmm2 (No. 42)
Symmetry-distinct sites (fractional):
Mn1 0.0000 0.0000 0.0000 x4
Zn1 0.0000 0.0000 0.3474 x4
Cl1 0.0000 0.0000 0.6416 x4

***

Starting from a DFT-relaxed cell (PBE, Alexandria), the powder diffractogram of Zr2Mn2Cl was calculated for Cu Kα (weighted mean of Kα1 and Kα2).
Neutral-atom scattering factors, no anomalous dispersion.

Principal peaks in the range 5 to 70 degrees two-theta, sorted by position:
2θ 10.91, 8.106 Å, I = 31.4
2θ 28.11, 3.174 Å, I = 57.3
2θ 32.23, 2.777 Å, I = 70.5
2θ 33.15, 2.702 Å, I = 19.6
2θ 39.33, 2.291 Å, I = 100.0
2θ 40.97, 2.203 Å, I = 55.4
2θ 44.72, 2.027 Å, I = 33.6
2θ 45.51, 1.993 Å, I = 90.6
2θ 56.89, 1.619 Å, I = 37.4
2θ 66.91, 1.398 Å, I = 15.2

Structure:
a = 3.2372 Å, b = 3.2372 Å, c = 16.2129 Å
α = 90.00°, β = 90.00°, γ = 90.00°
Space group I4/mmm (No. 139)
Symmetry-distinct sites (fractional):
Zr1 0.0000 0.0000 0.1141 x4
Mn1 0.0000 0.5000 0.2500 x4
Cl1 0.0000 0.0000 0.5000 x2